[1]
Diffraction record for Ca3Nb2CoO9. The X-ray powder pattern is theoretical, not measured: it uses a crystal structure in Alexandria, relaxed with PBE+U and Cu Kα, 1.54184 Å.
Peak positions follow from Bragg's law for the DFT cell and can differ from measured ones.

Largest 10 diffraction maxima, in order of falling intensity, 2θ from 10° to 80°:
hkl	two_theta	intensity
3 1 -3	32.02	100
1 1 1	22.48	47
2 2 2	45.85	30
3 3 -3	57.76	25
2 0 2	31.38	24
0 2 0	32.56	22
4 0 -8	45.99	17
4 2 -2	51.75	11
4 2 -8	57.48	11
5 1 -1	56.34	8

```
data_Ca3Nb2CoO9
_cell_length_a 9.724
_cell_length_b 5.500
_cell_length_c 16.801
_cell_angle_alpha 90.00
_cell_angle_beta 124.27
_cell_angle_gamma 90.00
_space_group_name_H-M_alt 'P 1 21/c 1'
_space_group_IT_number 14
_space_group_name_Hall '-P 2ybc'
loop_
_atom_site_label
_atom_site_fract_x
_atom_site_fract_y
_atom_site_fract_z
Ca1 0.048 0.016 0.399
Ca2 0.286 0.507 0.772
Ca3 0.377 0.019 0.068
Nb1 0.176 0.504 0.340
Nb2 0.327 0.511 0.160
Co1 0.000 0.000 0.000
Co2 0.500 0.000 0.500
O1 0.046 0.705 0.749
O2 0.108 0.599 0.425
O3 0.159 0.190 0.553
O4 0.187 0.700 0.620
O5 0.228 0.093 0.738
O6 0.279 0.203 0.412
O7 0.380 0.692 0.409
O8 0.436 0.602 0.096
O9 0.486 0.208 0.219
```

[2]
Diffraction record for CaNdCoO4. The X-ray powder pattern is theoretical, not measured: it uses a crystal structure in Alexandria, relaxed with PBE+U and Cu Kα, 1.54184 Å.
Peak positions follow from Bragg's law for the DFT cell and can differ from measured ones.

Largest 10 diffraction maxima, in order of falling intensity, 2θ from 10° to 80°:
hkl	two_theta	intensity
1 3 1	32.32	100
2 0 0	33.69	76
2 0 2	48.39	41
0 2 1	22.09	36
1 1 0	18.19	32
2 4 0	45.10	25
1 5 1	44.02	24
1 3 3	59.34	18
3 3 1	59.45	18
2 2 1	40.69	15

```
data_CaNdCoO4
_cell_length_a 5.314
_cell_length_b 12.281
_cell_length_c 5.326
_cell_angle_alpha 90.00
_cell_angle_beta 90.00
_cell_angle_gamma 90.00
_space_group_name_H-M_alt 'C m c m'
_space_group_IT_number 63
_space_group_name_Hall '-C 2c 2'
loop_
_atom_site_label
_atom_site_fract_x
_atom_site_fract_y
_atom_site_fract_z
Ca1 0.000 0.105 0.250
Nd1 0.000 0.389 0.250
Co1 0.000 0.249 0.750
O1 0.000 0.081 0.750
O2 0.000 0.423 0.750
O3 0.250 0.250 0.000
```

[3]
Diffraction record for CaNdCo4O12. The X-ray powder pattern is theoretical, not measured: it uses a crystal structure in Alexandria, relaxed with PBE+U and Cu Kα, 1.54184 Å.
Peak positions follow from Bragg's law for the DFT cell and can differ from measured ones.

Largest 10 diffraction maxima, in order of falling intensity, 2θ from 10° to 80°:
hkl	two_theta	intensity
1 1 1	20.53	100
2 2 0	34.01	55
0 2 2	33.86	53
2 0 2	33.66	53
0 0 4	48.13	26
4 0 0	48.57	25
0 4 0	49.14	24
0 1 1	16.74	23
1 0 0	11.80	21
2 2 4	60.23	21

```
data_CaNdCo4O12
_cell_length_a 7.498
_cell_length_b 7.416
_cell_length_c 7.563
_cell_angle_alpha 90.00
_cell_angle_beta 90.00
_cell_angle_gamma 90.00
_space_group_name_H-M_alt 'A m m 2'
_space_group_IT_number 38
_space_group_name_Hall 'A 2 -2'
loop_
_atom_site_label
_atom_site_fract_x
_atom_site_fract_y
_atom_site_fract_z
Ca1 0.000 0.000 0.000
Nd1 0.500 0.000 0.504
Co1 0.246 0.249 0.255
O1 0.000 0.223 0.757
O2 0.223 0.000 0.236
O3 0.255 0.241 0.499
O4 0.278 0.000 0.745
O5 0.500 0.225 0.253
```